No. 1
Structure and computed powder diffraction line list of Li4V3Sn3Te2O16 (a cell relaxed with GGA+U; Cu Kα).
No peak broadening, texture or thermal motion is included.

Main lines, low angle first (10 to 80 degrees two-theta):
5.077 Å, intensity 43; 4.807 Å, intensity 56; 4.780 Å, intensity 100; 3.713 Å, intensity 61; 2.873 Å, intensity 63; 2.673 Å, intensity 60; 2.618 Å, intensity 56; 2.115 Å, intensity 43

Cell and atoms:
a = 6.242 Å, b = 6.287 Å, c = 10.154 Å
α = 89.94°, β = 89.99°, γ = 60.27°
Atoms (fractional coordinates):
1 Li 0.000 0.000 0.000
2 Li 0.003 0.994 0.488
3 Li 0.340 0.320 0.589
4 Li 0.675 0.649 0.083
5 V 0.190 0.151 0.273
6 V 0.659 0.151 0.273
7 V 0.839 0.321 0.774
8 Sn 0.174 0.652 0.272
9 Sn 0.342 0.820 0.773
10 Sn 0.838 0.820 0.773
11 Te 0.345 0.311 0.006
12 Te 0.686 0.630 0.488
13 O 0.006 0.989 0.182
14 O 0.007 0.986 0.669
15 O 0.048 0.466 0.143
16 O 0.152 0.143 0.885
17 O 0.155 0.689 0.890
18 O 0.333 0.331 0.381
19 O 0.333 0.818 0.387
20 O 0.486 0.466 0.143
21 O 0.487 0.023 0.138
22 O 0.518 0.964 0.656
23 O 0.528 0.496 0.657
24 O 0.672 0.656 0.883
25 O 0.705 0.143 0.885
26 O 0.847 0.307 0.388
27 O 0.849 0.818 0.388
28 O 0.975 0.497 0.657

No. 2
Structure and computed powder diffraction line list of Ba2Ca2Tl2Ni3O10 (a cell relaxed with GGA+U; Cu Kα).
No peak broadening, texture or thermal motion is included.

Main lines, low angle first (10 to 80 degrees two-theta):
3.463 Å, intensity 26; 3.154 Å, intensity 69; 3.123 Å, intensity 65; 2.846 Å, intensity 36; 2.744 Å, intensity 100; 2.715 Å, intensity 27; 2.669 Å, intensity 31; 1.954 Å, intensity 26

Cell and atoms:
a = 3.852 Å, b = 3.909 Å, c = 18.868 Å
α = 84.22°, β = 84.34°, γ = 89.98°
Atoms (fractional coordinates):
1 Ba 0.000 0.000 0.000
2 Ba 0.331 0.300 0.437
3 Ca 0.104 0.085 0.806
4 Ca 0.231 0.191 0.631
5 Tl 0.439 0.405 0.156
6 Tl 0.889 0.846 0.281
7 Ni 0.554 0.548 0.890
8 Ni 0.676 0.629 0.720
9 Ni 0.779 0.738 0.547
10 O 0.052 0.546 0.896
11 O 0.174 0.624 0.725
12 O 0.277 0.734 0.552
13 O 0.394 0.479 0.267
14 O 0.480 0.488 0.045
15 O 0.557 0.050 0.887
16 O 0.686 0.132 0.712
17 O 0.783 0.241 0.541
18 O 0.848 0.829 0.392
19 O 0.933 0.024 0.170

No. 3
Structure and computed powder diffraction line list of Li7TiFe3P6O24 (a cell relaxed with GGA+U; Cu Kα).
No peak broadening, texture or thermal motion is included.

Main lines, low angle first (10 to 80 degrees two-theta):
6.256 Å, intensity 24; 4.438 Å, intensity 49; 4.410 Å, intensity 21; 3.770 Å, intensity 100; 3.128 Å, intensity 36; 2.805 Å, intensity 38; 2.548 Å, intensity 33; 1.667 Å, intensity 23

Cell and atoms:
a = 8.876 Å, b = 8.876 Å, c = 8.876 Å
α = 59.59°, β = 59.59°, γ = 59.59°
Atoms (fractional coordinates):
1 Li 0.000 0.000 0.000
2 Li 0.142 0.313 0.804
3 Li 0.313 0.804 0.142
4 Li 0.330 0.783 0.599
5 Li 0.599 0.330 0.783
6 Li 0.783 0.599 0.330
7 Li 0.804 0.142 0.313
8 Ti 0.386 0.386 0.386
9 Fe 0.178 0.178 0.178
10 Fe 0.678 0.678 0.678
11 Fe 0.884 0.884 0.884
12 P 0.072 0.780 0.487
13 P 0.283 0.573 0.986
14 P 0.487 0.072 0.780
15 P 0.573 0.986 0.283
16 P 0.780 0.487 0.072
17 P 0.986 0.283 0.573
18 O 0.007 0.251 0.410
19 O 0.070 0.950 0.305
20 O 0.074 0.808 0.643
21 O 0.120 0.758 0.972
22 O 0.149 0.338 0.535
23 O 0.251 0.410 0.007
24 O 0.264 0.625 0.430
25 O 0.305 0.070 0.950
26 O 0.338 0.535 0.149
27 O 0.410 0.007 0.251
28 O 0.430 0.264 0.625
29 O 0.450 0.598 0.799
30 O 0.535 0.149 0.338
31 O 0.539 0.911 0.725
32 O 0.598 0.799 0.450
33 O 0.625 0.430 0.264
34 O 0.643 0.074 0.808
35 O 0.725 0.539 0.911
36 O 0.758 0.972 0.120
37 O 0.799 0.450 0.598
38 O 0.808 0.643 0.074
39 O 0.911 0.725 0.539
40 O 0.950 0.305 0.070
41 O 0.972 0.120 0.758

No. 4
Structure and computed powder diffraction line list of Li4Fe3Ni5O16 (a cell relaxed with GGA+U; Cu Kα).
No peak broadening, texture or thermal motion is included.

Main lines, low angle first (10 to 80 degrees two-theta):
4.748 Å, intensity 72; 4.407 Å, intensity 100; 3.435 Å, intensity 34; 2.671 Å, intensity 41; 2.458 Å, intensity 61; 2.407 Å, intensity 49; 1.957 Å, intensity 49; 1.510 Å, intensity 41

Cell and atoms:
a = 5.741 Å, b = 5.741 Å, c = 9.497 Å
α = 90.10°, β = 90.10°, γ = 60.14°
Atoms (fractional coordinates):
1 Li 0.000 0.000 0.000
2 Li 0.002 0.002 0.497
3 Li 0.337 0.337 0.893
4 Li 0.674 0.674 0.389
5 Fe 0.173 0.173 0.217
6 Fe 0.342 0.836 0.715
7 Fe 0.836 0.342 0.715
8 Ni 0.173 0.665 0.216
9 Ni 0.340 0.340 0.489
10 Ni 0.665 0.173 0.216
11 Ni 0.669 0.669 0.995
12 Ni 0.834 0.834 0.714
13 O 0.000 0.000 0.309
14 O 0.041 0.489 0.330
15 O 0.159 0.687 0.605
16 O 0.166 0.166 0.605
17 O 0.319 0.845 0.108
18 O 0.340 0.340 0.113
19 O 0.487 0.487 0.330
20 O 0.489 0.041 0.330
21 O 0.520 0.520 0.834
22 O 0.526 0.968 0.834
23 O 0.679 0.679 0.600
24 O 0.687 0.159 0.605
25 O 0.845 0.319 0.108
26 O 0.845 0.845 0.109
27 O 0.968 0.526 0.834
28 O 0.993 0.993 0.816

No. 5
Structure and computed powder diffraction line list of MnOF (a cell relaxed with GGA+U; Cu Kα).
No peak broadening, texture or thermal motion is included.

Main lines, low angle first (10 to 80 degrees two-theta):
3.596 Å, intensity 100; 2.960 Å, intensity 94; 2.942 Å, intensity 90; 2.480 Å, intensity 22; 1.740 Å, intensity 26; 1.733 Å, intensity 37; 1.701 Å, intensity 28; 1.695 Å, intensity 30

Cell and atoms:
a = 5.625 Å, b = 4.678 Å, c = 11.708 Å
α = 90.00°, β = 118.15°, γ = 90.00°
Atoms (fractional coordinates):
1 Mn 0.024 0.037 0.374
2 Mn 0.024 0.463 0.874
3 Mn 0.476 0.049 0.124
4 Mn 0.476 0.451 0.624
5 Mn 0.524 0.549 0.376
6 Mn 0.524 0.951 0.876
7 Mn 0.976 0.537 0.126
8 Mn 0.976 0.963 0.626
9 O 0.159 0.214 0.544
10 O 0.159 0.286 0.044
11 O 0.181 0.161 0.793
12 O 0.181 0.339 0.293
13 O 0.819 0.661 0.707
14 O 0.819 0.839 0.207
15 O 0.841 0.714 0.956
16 O 0.841 0.786 0.456
17 F 0.327 0.691 0.712
18 F 0.327 0.809 0.212
19 F 0.362 0.745 0.968
20 F 0.362 0.755 0.468
21 F 0.638 0.245 0.532
22 F 0.638 0.255 0.032
23 F 0.673 0.191 0.788
24 F 0.673 0.309 0.288

No. 6
Structure and computed powder diffraction line list of Li2Co3WO8 (a cell relaxed with GGA+U; Cu Kα).
No peak broadening, texture or thermal motion is included.

Main lines, low angle first (10 to 80 degrees two-theta):
4.525 Å, intensity 100; 4.501 Å, intensity 56; 3.516 Å, intensity 29; 2.727 Å, intensity 39; 2.717 Å, intensity 19; 2.523 Å, intensity 46; 2.465 Å, intensity 25; 1.543 Å, intensity 21

Cell and atoms:
a = 5.918 Å, b = 5.918 Å, c = 9.655 Å
α = 90.12°, β = 90.12°, γ = 120.53°
Atoms (fractional coordinates):
1 Li 0.001 0.999 0.500
2 Li 0.332 0.658 0.585
3 Li 0.658 0.332 0.085
4 Li 0.999 0.001 0.000
5 Co 0.168 0.342 0.270
6 Co 0.172 0.824 0.277
7 Co 0.342 0.168 0.770
8 Co 0.662 0.826 0.276
9 Co 0.824 0.172 0.777
10 Co 0.826 0.662 0.776
11 W 0.329 0.673 0.001
12 W 0.673 0.329 0.501
13 O 0.005 0.017 0.692
14 O 0.017 0.005 0.192
15 O 0.031 0.530 0.148
16 O 0.144 0.345 0.901
17 O 0.166 0.831 0.903
18 O 0.322 0.650 0.378
19 O 0.345 0.144 0.401
20 O 0.457 0.960 0.147
21 O 0.470 0.513 0.130
22 O 0.513 0.470 0.630
23 O 0.530 0.031 0.648
24 O 0.650 0.322 0.878
25 O 0.653 0.853 0.902
26 O 0.831 0.166 0.403
27 O 0.853 0.653 0.402
28 O 0.960 0.457 0.647

No. 7
Structure and computed powder diffraction line list of Li2VC2O6 (a cell relaxed with GGA+U; Cu Kα).
No peak broadening, texture or thermal motion is included.

Main lines, low angle first (10 to 80 degrees two-theta):
8.275 Å, intensity 100; 6.406 Å, intensity 10; 5.595 Å, intensity 11; 4.663 Å, intensity 22; 3.206 Å, intensity 24; 3.162 Å, intensity 34; 2.404 Å, intensity 15; 2.169 Å, intensity 10

Cell and atoms:
a = 8.423 Å, b = 4.904 Å, c = 13.041 Å
α = 90.00°, β = 100.73°, γ = 90.00°
Atoms (fractional coordinates):
1 Li 0.060 0.000 0.209
2 Li 0.060 0.000 0.710
3 Li 0.344 0.432 0.475
4 Li 0.345 0.432 0.976
5 Li 0.655 0.932 0.024
6 Li 0.656 0.932 0.525
7 Li 0.940 0.500 0.290
8 Li 0.940 0.500 0.791
9 V 0.404 0.973 0.645
10 V 0.405 0.973 0.146
11 V 0.595 0.473 0.854
12 V 0.596 0.473 0.355
13 C 0.172 0.494 0.647
14 C 0.173 0.494 0.147
15 C 0.396 0.936 0.380
16 C 0.396 0.936 0.880
17 C 0.604 0.436 0.120
18 C 0.604 0.436 0.620
19 C 0.827 0.994 0.853
20 C 0.828 0.994 0.353
21 O 0.070 0.382 0.696
22 O 0.071 0.382 0.196
23 O 0.181 0.758 0.141
24 O 0.181 0.758 0.641
25 O 0.266 0.346 0.601
26 O 0.267 0.346 0.101
27 O 0.366 0.680 0.860
28 O 0.367 0.680 0.360
29 O 0.400 0.034 0.473
30 O 0.400 0.034 0.973
31 O 0.426 0.100 0.807
32 O 0.427 0.100 0.308
33 O 0.573 0.600 0.692
34 O 0.574 0.600 0.193
35 O 0.600 0.534 0.027
36 O 0.600 0.534 0.527
37 O 0.633 0.180 0.640
38 O 0.634 0.180 0.140
39 O 0.733 0.846 0.899
40 O 0.734 0.846 0.399
41 O 0.819 0.258 0.359
42 O 0.819 0.258 0.859
43 O 0.929 0.882 0.804
44 O 0.930 0.882 0.304

No. 8
Structure and computed powder diffraction line list of LiFe2OF3 (a cell relaxed with GGA+U; Cu Kα).
No peak broadening, texture or thermal motion is included.

Main lines, low angle first (10 to 80 degrees two-theta):
7.225 Å, intensity 80; 5.035 Å, intensity 100; 3.778 Å, intensity 25; 2.820 Å, intensity 30; 2.660 Å, intensity 57; 2.210 Å, intensity 46; 2.191 Å, intensity 98; 1.556 Å, intensity 56

Cell and atoms:
a = 8.259 Å, b = 8.259 Å, c = 8.259 Å
α = 136.46°, β = 81.26°, γ = 115.29°
Atoms (fractional coordinates):
1 Li 0.084 0.719 0.365
2 Li 0.129 0.000 0.129
3 Li 0.354 0.719 0.635
4 Li 0.871 0.000 0.871
5 Fe 0.133 0.381 0.752
6 Fe 0.341 0.341 0.000
7 Fe 0.497 0.374 0.640
8 Fe 0.497 0.857 0.123
9 Fe 0.629 0.381 0.248
10 Fe 0.734 0.374 0.877
11 Fe 0.734 0.857 0.360
12 Fe 0.882 0.382 0.500
13 O 0.368 0.600 0.768
14 O 0.574 0.574 0.000
15 O 0.647 0.147 0.500
16 O 0.832 0.600 0.232
17 F 0.106 0.606 0.500
18 F 0.114 0.114 0.000
19 F 0.234 0.108 0.625
20 F 0.234 0.610 0.126
21 F 0.398 0.140 0.258
22 F 0.484 0.108 0.874
23 F 0.484 0.610 0.375
24 F 0.740 0.122 0.128
25 F 0.740 0.612 0.618
26 F 0.882 0.140 0.742
27 F 0.993 0.122 0.382
28 F 0.993 0.612 0.872